Record 1
# B3Pd7
Computed X-ray diffraction stick pattern, Cu Kα (λ = 1.5418 Å). Input: a PBE-relaxed structure.
No peak broadening, texture or thermal motion is included.

Most intense lines, 10° ≤ 2θ ≤ 90°, most intense first:
two_theta	Rel. int.
40.25	100
38.99	27
35.69	26
32.46	19
71.47	17
73.72	16
44.80	15
36.48	15
72.88	15
73.99	13

Structural model:
a = 7.687 Å, b = 7.687 Å, c = 4.926 Å
α = 90.00°, β = 90.00°, γ = 120.00°
Sites, in units of the cell vectors:
B (0.189, 0.377, 0.000)
B (0.189, 0.811, 0.000)
B (0.377, 0.189, 0.500)
B (0.623, 0.811, 0.000)
B (0.811, 0.189, 0.500)
B (0.811, 0.623, 0.500)
Pd (0.091, 0.545, 0.248)
Pd (0.124, 0.247, 0.605)
Pd (0.124, 0.876, 0.605)
Pd (0.247, 0.124, 0.105)
Pd (0.333, 0.667, 0.772)
Pd (0.455, 0.545, 0.248)
Pd (0.455, 0.909, 0.248)
Pd (0.545, 0.091, 0.748)
Pd (0.545, 0.455, 0.748)
Pd (0.667, 0.333, 0.272)
Pd (0.753, 0.876, 0.605)
Pd (0.876, 0.124, 0.105)
Pd (0.876, 0.753, 0.105)
Pd (0.909, 0.455, 0.748)

Record 2
# AcLaSmHo
Computed X-ray diffraction stick pattern, Cu Kα (λ = 1.5418 Å). Input: a PBE-relaxed structure.
No peak broadening, texture or thermal motion is included.

Most intense lines, 10° ≤ 2θ ≤ 90°, most intense first:
two_theta	Rel. int.
30.08	100
53.41	41
86.70	21
43.05	19
70.93	17
62.52	13
78.92	4
21.14	2
18.28	2
48.44	1

Structural model:
a = 5.942 Å, b = 5.942 Å, c = 5.942 Å
α = 60.00°, β = 60.00°, γ = 60.00°
Sites, in units of the cell vectors:
Ac (0.000, 0.000, 0.000)
La (0.250, 0.250, 0.250)
Sm (0.750, 0.750, 0.750)
Ho (0.500, 0.500, 0.500)

Record 3
# Ac4Pm3Dy2
Computed X-ray diffraction stick pattern, Cu Kα (λ = 1.5418 Å). Input: a PBE-relaxed structure.
No peak broadening, texture or thermal motion is included.

Most intense lines, 10° ≤ 2θ ≤ 90°, most intense first:
two_theta	Rel. int.
28.87	100
29.00	99
33.16	70
34.29	32
48.45	24
56.69	23
56.59	15
56.77	15
58.05	14
58.28	14

Structural model:
a = 5.402 Å, b = 6.460 Å, c = 11.321 Å
α = 105.27°, β = 90.00°, γ = 114.64°
Sites, in units of the cell vectors:
Ac (0.003, 0.007, 0.332)
Ac (0.334, 0.668, 0.111)
Ac (0.666, 0.332, 0.889)
Ac (0.997, 0.993, 0.668)
Pm (0.000, 0.000, 0.000)
Pm (0.334, 0.668, 0.448)
Pm (0.666, 0.332, 0.552)
Dy (0.329, 0.657, 0.772)
Dy (0.671, 0.343, 0.228)

Record 4
# LiGa12Ag6
Computed X-ray diffraction stick pattern, Cu Kα (λ = 1.5418 Å). Input: a PBE-relaxed structure.
No peak broadening, texture or thermal motion is included.

Most intense lines, 10° ≤ 2θ ≤ 90°, most intense first:
two_theta	Rel. int.
43.33	100
43.13	92
26.04	78
41.54	78
42.02	63
71.10	61
38.08	60
41.92	58
30.20	53
38.49	49

Structural model:
a = 7.255 Å, b = 7.255 Å, c = 7.255 Å
α = 99.79°, β = 99.79°, γ = 99.79°
Sites, in units of the cell vectors:
Li (0.000, 0.000, 0.000)
Ga (0.012, 0.812, 0.287)
Ga (0.188, 0.713, 0.988)
Ga (0.191, 0.499, 0.635)
Ga (0.287, 0.012, 0.812)
Ga (0.365, 0.809, 0.501)
Ga (0.499, 0.635, 0.191)
Ga (0.501, 0.365, 0.809)
Ga (0.635, 0.191, 0.499)
Ga (0.713, 0.988, 0.188)
Ga (0.809, 0.501, 0.365)
Ga (0.812, 0.287, 0.012)
Ga (0.988, 0.188, 0.713)
Ag (0.152, 0.453, 0.251)
Ag (0.251, 0.152, 0.453)
Ag (0.453, 0.251, 0.152)
Ag (0.547, 0.749, 0.848)
Ag (0.749, 0.848, 0.547)
Ag (0.848, 0.547, 0.749)

Record 5
# ErPaTl2O8
Computed X-ray diffraction stick pattern, Cu Kα (λ = 1.5418 Å). Input: a PBE-relaxed structure.
No peak broadening, texture or thermal motion is included.

Most intense lines, 10° ≤ 2θ ≤ 90°, most intense first:
two_theta	Rel. int.
29.77	100
25.43	91
47.60	70
36.27	27
55.31	22
61.28	19
73.34	16
58.97	16
52.24	14
79.54	14

Structural model:
a = 6.226 Å, b = 6.226 Å, c = 6.226 Å
α = 111.54°, β = 111.54°, γ = 105.41°
Sites, in units of the cell vectors:
Er (0.000, 0.000, 0.000)
Pa (0.750, 0.250, 0.500)
Tl (0.250, 0.750, 0.500)
Tl (0.500, 0.500, 0.000)
O (0.021, 0.343, 0.322)
O (0.021, 0.699, 0.678)
O (0.088, 0.276, 0.812)
O (0.301, 0.979, 0.322)
O (0.465, 0.276, 0.188)
O (0.657, 0.979, 0.678)
O (0.724, 0.535, 0.812)
O (0.724, 0.912, 0.188)

Record 6
# Ce5Pa2
Computed X-ray diffraction stick pattern, Cu Kα (λ = 1.5418 Å). Input: a PBE-relaxed structure.
No peak broadening, texture or thermal motion is included.

Most intense lines, 10° ≤ 2θ ≤ 90°, most intense first:
two_theta	Rel. int.
33.94	100
34.19	55
39.01	42
34.96	36
33.15	36
37.14	32
41.67	29
16.28	26
70.20	25
64.77	18

Structural model:
a = 10.889 Å, b = 10.889 Å, c = 3.113 Å
α = 90.00°, β = 90.00°, γ = 90.00°
Sites, in units of the cell vectors:
Ce (0.000, 0.500, 0.000)
Ce (0.056, 0.210, 0.000)
Ce (0.210, 0.944, 0.000)
Ce (0.290, 0.444, 0.000)
Ce (0.444, 0.710, 0.000)
Ce (0.500, 0.000, 0.000)
Ce (0.556, 0.290, 0.000)
Ce (0.710, 0.556, 0.000)
Ce (0.790, 0.056, 0.000)
Ce (0.944, 0.790, 0.000)
Pa (0.193, 0.693, 0.500)
Pa (0.307, 0.193, 0.500)
Pa (0.693, 0.807, 0.500)
Pa (0.807, 0.307, 0.500)

Record 7
# Y5Fe
Computed X-ray diffraction stick pattern, Cu Kα (λ = 1.5418 Å). Input: a PBE-relaxed structure.
No peak broadening, texture or thermal motion is included.

Most intense lines, 10° ≤ 2θ ≤ 90°, most intense first:
two_theta	Rel. int.
34.69	100
32.97	99
32.21	65
32.06	32
31.56	30
29.44	29
61.92	28
60.12	27
49.75	25
27.48	22

Structural model:
a = 6.323 Å, b = 6.323 Å, c = 8.420 Å
α = 110.52°, β = 110.52°, γ = 32.67°
Sites, in units of the cell vectors:
Y (0.000, 0.000, 0.000)
Y (0.334, 0.334, 0.215)
Y (0.373, 0.373, 0.626)
Y (0.627, 0.627, 0.374)
Y (0.666, 0.666, 0.785)
Fe (0.000, 0.000, 0.500)

Record 8
# BeO2
Computed X-ray diffraction stick pattern, Cu Kα (λ = 1.5418 Å). Input: a PBE-relaxed structure.
No peak broadening, texture or thermal motion is included.

Most intense lines, 10° ≤ 2θ ≤ 90°, most intense first:
two_theta	Rel. int.
23.17	100
33.64	52
40.12	41
30.49	40
41.81	28
27.92	22
49.36	18
65.15	10
55.08	9
53.79	8

Structural model:
a = 3.702 Å, b = 4.802 Å, c = 6.391 Å
α = 90.00°, β = 90.00°, γ = 90.00°
Sites, in units of the cell vectors:
Be (0.152, 0.181, 0.353)
Be (0.348, 0.819, 0.853)
Be (0.652, 0.319, 0.647)
Be (0.848, 0.681, 0.147)
O (0.018, 0.147, 0.597)
O (0.178, 0.875, 0.245)
O (0.322, 0.125, 0.745)
O (0.482, 0.853, 0.097)
O (0.518, 0.353, 0.403)
O (0.678, 0.625, 0.755)
O (0.822, 0.375, 0.255)
O (0.982, 0.647, 0.903)